[1]
The following is a calculated X-ray diffraction stick pattern of Na5LiMn2P2C2O14. It was derived from a structure optimized by DFT (GGA+U), using copper Kα.
Lines closer than 0.1° are merged.

Crystal structure
```
data_Na5LiMn2P2C2O14
_symmetry_space_group_name_H-M 'P 1 m 1'
_symmetry_Int_Tables_number 6
_cell_length_a 5.208
_cell_length_b 6.853
_cell_length_c 8.976
_cell_angle_alpha 90.00
_cell_angle_beta 91.76
_cell_angle_gamma 90.00
loop_
_symmetry_equiv_pos_as_xyz
'x,y,z'
'x,-y,z'
loop_
_atom_site_label
_atom_site_type_symbol
_atom_site_fract_x
_atom_site_fract_y
_atom_site_fract_z
Na1 Na 0.000 0.000 0.000
Na2 Na 0.026 0.255 0.659
Na3 Na 0.508 0.246 0.173
Li1 Li 0.543 0.500 0.804
Mn1 Mn 0.547 0.000 0.557
Mn2 Mn 0.989 0.500 0.279
P1 P 0.050 0.000 0.328
P2 P 0.484 0.500 0.506
C1 C 0.059 0.500 0.961
C2 C 0.494 0.000 0.854
O1 O 0.161 0.500 0.831
O2 O 0.185 0.500 0.485
O3 O 0.211 0.500 0.080
O4 O 0.293 0.000 0.763
O5 O 0.350 0.000 0.346
O6 O 0.464 0.000 0.997
O7 O 0.570 0.320 0.601
O8 O 0.600 0.500 0.348
O9 O 0.721 0.000 0.798
O10 O 0.811 0.500 0.974
O11 O 0.936 0.000 0.485
O12 O 0.964 0.183 0.235
```

Main lines, sorted by position (15° ≤ 2θ ≤ 90°):
- 2θ = 25.8°, intensity 325
- 2θ = 26.0°, intensity 1000
- 2θ = 32.7°, intensity 554
- 2θ = 32.9°, intensity 788
- 2θ = 33.0°, intensity 460
- 2θ = 34.1°, intensity 416
- 2θ = 34.5°, intensity 667
- 2θ = 37.5°, intensity 404
- 2θ = 48.5°, intensity 458
- 2θ = 53.5°, intensity 500



[2]
The following is a calculated X-ray diffraction stick pattern of NaLi2MnPCO7. It was derived from a structure optimized by DFT (GGA+U), using copper Kα.
Lines closer than 0.1° are merged.

Crystal structure
```
data_NaLi2MnPCO7
_symmetry_space_group_name_H-M 'P -1'
_symmetry_Int_Tables_number 2
_cell_length_a 5.108
_cell_length_b 6.784
_cell_length_c 8.915
_cell_angle_alpha 100.97
_cell_angle_beta 91.20
_cell_angle_gamma 91.93
loop_
_symmetry_equiv_pos_as_xyz
'x,y,z'
'-x,-y,-z'
loop_
_atom_site_label
_atom_site_type_symbol
_atom_site_fract_x
_atom_site_fract_y
_atom_site_fract_z
Na1 Na 0.238 0.458 0.221
Li1 Li 0.181 0.136 0.895
Li2 Li 0.297 0.906 0.306
Mn1 Mn 0.290 0.771 0.641
P1 P 0.211 0.259 0.578
C1 C 0.289 0.778 0.978
O1 O 0.095 0.739 0.424
O2 O 0.137 0.822 0.868
O3 O 0.178 0.759 0.105
O4 O 0.298 0.197 0.409
O5 O 0.305 0.104 0.675
O6 O 0.328 0.467 0.654
O7 O 0.465 0.240 0.041
```

Main lines, sorted by position (15° ≤ 2θ ≤ 90°):
- 2θ = 19.9°, intensity 281
- 2θ = 25.8°, intensity 380
- 2θ = 26.5°, intensity 486
- 2θ = 26.8°, intensity 1000
- 2θ = 27.2°, intensity 359
- 2θ = 30.5°, intensity 385
- 2θ = 35.0°, intensity 435
- 2θ = 35.2°, intensity 554
- 2θ = 36.0°, intensity 286
- 2θ = 40.7°, intensity 237



[3]
The following is a calculated X-ray diffraction stick pattern of NaLi2MnPCO7. It was derived from a structure optimized by DFT (GGA+U), using copper Kα.
Lines closer than 0.1° are merged.

Crystal structure
```
data_NaLi2MnPCO7
_symmetry_space_group_name_H-M 'P 1'
_symmetry_Int_Tables_number 1
_cell_length_a 5.150
_cell_length_b 6.702
_cell_length_c 8.775
_cell_angle_alpha 95.37
_cell_angle_beta 91.61
_cell_angle_gamma 92.46
loop_
_symmetry_equiv_pos_as_xyz
'x,y,z'
loop_
_atom_site_label
_atom_site_type_symbol
_atom_site_fract_x
_atom_site_fract_y
_atom_site_fract_z
Na1 Na 0.000 0.000 0.000
Na2 Na 0.025 0.218 0.344
Li1 Li 0.059 0.671 0.384
Li2 Li 0.475 0.282 0.876
Li3 Li 0.477 0.823 0.791
Li4 Li 0.541 0.545 0.186
Mn1 Mn 0.051 0.491 0.737
Mn2 Mn 0.498 0.971 0.439
P1 P 0.559 0.487 0.513
P2 P 0.995 0.982 0.669
C1 C 0.008 0.480 0.057
C2 C 0.515 0.993 0.131
O1 O 0.081 0.815 0.770
O2 O 0.087 0.943 0.502
O3 O 0.120 0.181 0.750
O4 O 0.254 0.471 0.029
O5 O 0.292 0.973 0.192
O6 O 0.455 0.282 0.437
O7 O 0.463 0.533 0.679
O8 O 0.464 0.645 0.405
O9 O 0.535 0.022 0.986
O10 O 0.693 0.988 0.662
O11 O 0.724 0.981 0.216
O12 O 0.835 0.470 0.944
O13 O 0.863 0.493 0.519
O14 O 0.927 0.498 0.196
```

Main lines, sorted by position (15° ≤ 2θ ≤ 90°):
- 2θ = 19.7°, intensity 321
- 2θ = 20.3°, intensity 347
- 2θ = 26.3°, intensity 300
- 2θ = 26.8°, intensity 1000
- 2θ = 30.7°, intensity 149
- 2θ = 32.2°, intensity 155
- 2θ = 34.9°, intensity 523
- 2θ = 37.1°, intensity 210
- 2θ = 41.4°, intensity 171
- 2θ = 55.1°, intensity 182



[4]
The following is a calculated X-ray diffraction stick pattern of Li6MnNiP2C2O14. It was derived from a structure optimized by DFT (GGA+U), using copper Kα.
Lines closer than 0.1° are merged.

Crystal structure
```
data_Li6MnNiP2C2O14
_symmetry_space_group_name_H-M 'P 1 m 1'
_symmetry_Int_Tables_number 6
_cell_length_a 4.998
_cell_length_b 6.490
_cell_length_c 8.517
_cell_angle_alpha 90.00
_cell_angle_beta 96.11
_cell_angle_gamma 90.00
loop_
_symmetry_equiv_pos_as_xyz
'x,y,z'
'x,-y,z'
loop_
_atom_site_label
_atom_site_type_symbol
_atom_site_fract_x
_atom_site_fract_y
_atom_site_fract_z
Li1 Li 0.000 0.000 0.000
Li2 Li 0.068 0.267 0.625
Li3 Li 0.532 0.232 0.168
Li4 Li 0.596 0.500 0.792
Mn1 Mn 0.579 0.000 0.556
Ni1 Ni 0.009 0.500 0.229
P1 P 0.068 0.000 0.304
P2 P 0.537 0.500 0.484
C1 C 0.121 0.500 0.942
C2 C 0.468 0.000 0.860
O1 O 0.195 0.500 0.800
O2 O 0.222 0.500 0.460
O3 O 0.282 0.000 0.739
O4 O 0.301 0.500 0.066
O5 O 0.382 0.000 0.319
O6 O 0.399 0.000 0.002
O7 O 0.642 0.315 0.590
O8 O 0.643 0.500 0.321
O9 O 0.717 0.000 0.832
O10 O 0.871 0.500 0.968
O11 O 0.957 0.188 0.203
O12 O 0.979 0.000 0.472
```

Main lines, sorted by position (15° ≤ 2θ ≤ 90°):
- 2θ = 17.2°, intensity 254
- 2θ = 19.7°, intensity 331
- 2θ = 21.7°, intensity 590
- 2θ = 26.2°, intensity 346
- 2θ = 27.5°, intensity 1000
- 2θ = 31.7°, intensity 167
- 2θ = 34.8°, intensity 197
- 2θ = 36.6°, intensity 323
- 2θ = 40.8°, intensity 268
- 2θ = 56.7°, intensity 171



[5]
The following is a calculated X-ray diffraction stick pattern of LiMnC2O6. It was derived from a structure optimized by DFT (GGA+U), using copper Kα.
Lines closer than 0.1° are merged.

Crystal structure
```
data_LiMnC2O6
_symmetry_space_group_name_H-M 'P -1'
_symmetry_Int_Tables_number 2
_cell_length_a 4.762
_cell_length_b 5.738
_cell_length_c 7.496
_cell_angle_alpha 73.46
_cell_angle_beta 89.40
_cell_angle_gamma 89.89
loop_
_symmetry_equiv_pos_as_xyz
'x,y,z'
'-x,-y,-z'
loop_
_atom_site_label
_atom_site_type_symbol
_atom_site_fract_x
_atom_site_fract_y
_atom_site_fract_z
Li1 Li 0.000 0.000 0.000
Li2 Li 0.500 0.500 0.500
Mn1 Mn 0.000 0.000 0.500
Mn2 Mn 0.500 0.500 0.000
C1 C 0.005 0.487 0.249
C2 C 0.483 0.990 0.743
O1 O 0.137 0.337 0.387
O2 O 0.156 0.620 0.111
O3 O 0.209 0.982 0.739
O4 O 0.261 0.491 0.751
O5 O 0.373 0.864 0.383
O6 O 0.390 0.156 0.113
```

Main lines, sorted by position (15° ≤ 2θ ≤ 90°):
- 2θ = 17.3°, intensity 1000
- 2θ = 22.3°, intensity 364
- 2θ = 22.5°, intensity 403
- 2θ = 23.0°, intensity 339
- 2θ = 31.6°, intensity 678
- 2θ = 31.9°, intensity 624
- 2θ = 32.6°, intensity 516
- 2θ = 41.9°, intensity 353
- 2θ = 42.1°, intensity 357
- 2θ = 42.9°, intensity 318



[6]
The following is a calculated X-ray diffraction stick pattern of LiMn2CO. It was derived from a structure optimized by DFT (GGA+U), using copper Kα.
Lines closer than 0.1° are merged.

Crystal structure
```
data_LiMn2CO
_symmetry_space_group_name_H-M 'P 4/m m m'
_symmetry_Int_Tables_number 123
_symmetry_space_group_name_Hall '-P 4 2'
_cell_length_a 4.149
_cell_length_b 4.149
_cell_length_c 3.513
_cell_angle_alpha 90.00
_cell_angle_beta 90.00
_cell_angle_gamma 90.00
loop_
_atom_site_label
_atom_site_type_symbol
_atom_site_fract_x
_atom_site_fract_y
_atom_site_fract_z
Li1 Li 0.000 0.000 0.000
Mn1 Mn 0.000 0.500 0.500
C1 C 0.500 0.500 0.000
O1 O 0.000 0.000 0.500
```

Main lines, sorted by position (15° ≤ 2θ ≤ 90°):
- 2θ = 25.4°, intensity 916
- 2θ = 30.5°, intensity 548
- 2θ = 40.0°, intensity 1000
- 2θ = 43.6°, intensity 634
- 2θ = 51.1°, intensity 475
- 2θ = 52.1°, intensity 176
- 2θ = 63.4°, intensity 179
- 2θ = 69.4°, intensity 169
- 2θ = 70.2°, intensity 255
- 2θ = 77.7°, intensity 246



[7]
The following is a calculated X-ray diffraction stick pattern of Li3Mn2C4O12. It was derived from a structure optimized by DFT (GGA+U), using copper Kα.
Lines closer than 0.1° are merged.

Crystal structure
```
data_Li3Mn2C4O12
_symmetry_space_group_name_H-M 'P 1'
_symmetry_Int_Tables_number 1
_cell_length_a 5.384
_cell_length_b 6.444
_cell_length_c 8.633
_cell_angle_alpha 84.07
_cell_angle_beta 73.49
_cell_angle_gamma 66.21
loop_
_symmetry_equiv_pos_as_xyz
'x,y,z'
loop_
_atom_site_label
_atom_site_type_symbol
_atom_site_fract_x
_atom_site_fract_y
_atom_site_fract_z
Li1 Li 0.000 0.000 0.000
Li2 Li 0.100 0.469 0.822
Li3 Li 0.375 0.892 0.354
Mn1 Mn 0.459 0.458 0.200
Mn2 Mn 0.706 0.948 0.672
C1 C 0.153 0.552 0.470
C2 C 0.583 0.820 0.981
C3 C 0.591 0.334 0.883
C4 C 0.763 0.062 0.368
O1 O 0.004 0.600 0.614
O2 O 0.074 0.502 0.355
O3 O 0.369 0.407 0.010
O4 O 0.406 0.881 0.894
O5 O 0.410 0.553 0.422
O6 O 0.516 0.755 0.130
O7 O 0.541 0.291 0.756
O8 O 0.544 0.029 0.458
O9 O 0.766 0.139 0.221
O10 O 0.831 0.822 0.916
O11 O 0.833 0.308 0.897
O12 O 0.972 0.018 0.427
```

Main lines, sorted by position (15° ≤ 2θ ≤ 90°):
- 2θ = 18.4°, intensity 230
- 2θ = 18.7°, intensity 634
- 2θ = 18.9°, intensity 1000
- 2θ = 19.2°, intensity 639
- 2θ = 28.4°, intensity 263
- 2θ = 30.3°, intensity 200
- 2θ = 32.1°, intensity 181
- 2θ = 32.2°, intensity 136
- 2θ = 32.4°, intensity 226
- 2θ = 42.5°, intensity 177



[8]
The following is a calculated X-ray diffraction stick pattern of LiMnC2O6. It was derived from a structure optimized by DFT (GGA+U), using copper Kα.
Lines closer than 0.1° are merged.

Crystal structure
```
data_LiMnC2O6
_symmetry_space_group_name_H-M 'P 1 21 1'
_symmetry_Int_Tables_number 4
_cell_length_a 4.908
_cell_length_b 7.915
_cell_length_c 6.628
_cell_angle_alpha 90.00
_cell_angle_beta 105.80
_cell_angle_gamma 90.00
loop_
_symmetry_equiv_pos_as_xyz
'x,y,z'
'-x,y+1/2,-z'
loop_
_atom_site_label
_atom_site_type_symbol
_atom_site_fract_x
_atom_site_fract_y
_atom_site_fract_z
Li1 Li 0.165 0.000 0.146
Mn1 Mn 0.497 0.048 0.739
C1 C 0.342 0.300 0.889
C2 C 0.362 0.286 0.376
O1 O 0.216 0.424 0.371
O2 O 0.222 0.150 0.886
O3 O 0.241 0.434 0.942
O4 O 0.282 0.140 0.418
O5 O 0.398 0.809 0.673
O6 O 0.425 0.796 0.173
```

Main lines, sorted by position (15° ≤ 2θ ≤ 90°):
- 2θ = 17.9°, intensity 883
- 2θ = 18.8°, intensity 1000
- 2θ = 21.9°, intensity 304
- 2θ = 23.1°, intensity 466
- 2θ = 28.7°, intensity 188
- 2θ = 30.2°, intensity 541
- 2θ = 38.1°, intensity 261
- 2θ = 38.6°, intensity 151
- 2θ = 39.8°, intensity 193
- 2θ = 55.3°, intensity 137